Diffraction record for TaCr3Cu2S8. The PXRD pattern is computed, not measured: it uses a DFT-relaxed cell (PBE, the Materials Project) and Cu Kα.

Crystal structure
Lattice parameters (Å, degrees): 6.3521 7.2650 12.2395 98.45 94.47 90.30
Space group P1 (No. 1)
Inequivalent atoms, fractional coordinates:
1 Ta 0.0000 0.0000 0.0000
2 Ta 0.2263 0.8516 0.4019
3 Cr 0.1034 0.1810 0.7008
4 Cr 0.2468 0.3532 0.4098
5 Cr 0.4938 0.2509 0.9903
6 Cr 0.4944 0.7360 0.9876
7 Cr 0.6151 0.4172 0.7005
8 Cr 0.7030 0.5950 0.4128
9 Cu 0.1110 0.6590 0.7032
10 Cu 0.6086 0.9182 0.6964
11 Cu 0.7244 0.1000 0.4153
12 Cu 0.9750 0.4907 0.9879
13 S 0.0339 0.5777 0.3388
14 S 0.0455 0.0893 0.3336
15 S 0.1719 0.7533 0.0645
16 S 0.1737 0.2752 0.0698
17 S 0.2472 0.8960 0.5910
18 S 0.2666 0.3895 0.5961
19 S 0.4500 0.2014 0.8028
20 S 0.4631 0.6951 0.8012
21 S 0.5543 0.3274 0.3367
22 S 0.5541 0.8326 0.3309
23 S 0.6638 0.5139 0.0639
24 S 0.6657 0.0125 0.0685
25 S 0.7619 0.6397 0.5960
26 S 0.7636 0.1461 0.6027
27 S 0.9534 0.4414 0.8005
28 S 0.9726 0.9513 0.8117

Most intense lines, 10 to 80 degrees two-theta, by angle:
| Position (°2θ) | d [Å] | intensity | (hkl) |
| --- | --- | --- | --- |
| 14.68 | 6.034 | 31 | 0 0 2 |
| 22.10 | 4.023 | 100 | 0 0 3 |
| 28.55 | 3.127 | 39 | 2 0 -1 |
| 29.74 | 3.004 | 30 | 2 0 1 |
| 29.98 | 2.981 | 31 | -1 2 1 |
| 34.64 | 2.590 | 53 | 2 0 -3 |
| 49.73 | 1.833 | 32 | 3 -2 0 |
| 51.70 | 1.768 | 44 | 1 2 5 |

***

Diffraction record for TaCr3Cu2S8. The PXRD pattern is computed, not measured: it uses a DFT-relaxed cell (PBE, the Materials Project) and Cu Kα.

Crystal structure
Lattice parameters (Å, degrees): 6.3837 7.2548 12.2552 97.26 94.58 90.70
Space group P-1 (No. 2)
Inequivalent atoms, fractional coordinates:
1 Ta 0.1428 0.2034 0.3007
2 Cr 0.2445 0.3814 0.9995
3 Cr 0.3658 0.0609 0.7127
4 Cr 0.3668 0.5453 0.7077
5 Cu 0.1192 0.6970 0.2860
6 Cu 0.2626 0.8689 0.0028
7 S 0.0986 0.6481 0.0976
8 S 0.1080 0.1541 0.1111
9 S 0.1909 0.2821 0.6360
10 S 0.1927 0.7869 0.6317
11 S 0.3139 0.4791 0.3710
12 S 0.3165 0.9551 0.3664
13 S 0.3861 0.1030 0.8982
14 S 0.4108 0.5943 0.8949

Most intense lines, 10 to 80 degrees two-theta, by angle:
| Position (°2θ) | d [Å] | intensity | (hkl) |
| --- | --- | --- | --- |
| 14.62 | 6.058 | 30 | 0 0 2 |
| 22.01 | 4.039 | 100 | 0 0 3 |
| 28.42 | 3.140 | 30 | 2 0 -1 |
| 28.65 | 3.116 | 39 | 1 -2 1 |
| 29.66 | 3.012 | 62 | -1 2 1 |
| 30.34 | 2.946 | 30 | 1 2 -2 |
| 34.42 | 2.606 | 54 | 2 0 -3 |
| 42.84 | 2.111 | 32 | -1 2 4 |

***

Diffraction record for TaCr3Cu2S8. The PXRD pattern is computed, not measured: it uses a DFT-relaxed cell (PBE, the Materials Project) and Cu Kα.

Crystal structure
Lattice parameters (Å, degrees): 5.9109 3.4404 11.4756 90.00 90.27 90.00
Space group Pm (No. 6)
Inequivalent atoms, fractional coordinates:
1 Ta 0.0000 0.0000 0.0000
2 Cr 0.4406 0.5000 0.0078
3 Cr 0.4893 0.5000 0.4934
4 Cr 0.9585 0.0000 0.5141
5 Cu 0.4803 0.5000 0.7474
6 Cu 0.9758 0.0000 0.2598
7 S 0.1338 0.5000 0.3926
8 S 0.1376 0.5000 0.8663
9 S 0.3085 0.0000 0.1363
10 S 0.3145 0.0000 0.6135
11 S 0.6218 0.0000 0.8924
12 S 0.6461 0.0000 0.3815
13 S 0.7935 0.5000 0.1198
14 S 0.8037 0.5000 0.6267

Most intense lines, 10 to 80 degrees two-theta, by angle:
| Position (°2θ) | d [Å] | intensity | (hkl) |
| --- | --- | --- | --- |
| 15.44 | 5.738 | 68 | 0 0 2 |
| 16.88 | 5.251 | 68 | 1 0 1 |
| 30.05 | 2.973 | 64 | 1 1 0 |
| 30.25 | 2.954 | 40 | 2 0 0 |
| 33.92 | 2.642 | 69 | 1 1 -2 |
| 43.82 | 2.066 | 100 | 1 1 -4 |
| 43.91 | 2.062 | 64 | 1 1 4 |
| 53.60 | 1.710 | 49 | 3 1 0 |

***

Diffraction record for TiCrCuS4. The PXRD pattern is computed, not measured: it uses a DFT-relaxed cell (PBE, the Materials Project) and Cu Kα.

Crystal structure
Lattice parameters (Å, degrees): 12.8472 3.4394 5.9143 90.00 116.63 90.00
Space group Cm (No. 8)
Inequivalent atoms, fractional coordinates:
1 Ti 0.0000 0.0000 0.0000
2 Cr 0.4883 0.0000 0.4365
3 Cu 0.2467 0.5000 0.7176
4 S 0.1052 0.0000 0.7266
5 S 0.1262 0.5000 0.2634
6 S 0.3638 0.5000 0.1683
7 S 0.3813 0.0000 0.6828

Most intense lines, 10 to 80 degrees two-theta, by angle:
| Position (°2θ) | d [Å] | intensity | (hkl) |
| --- | --- | --- | --- |
| 16.96 | 5.229 | 44 | 2 0 -1 |
| 30.06 | 2.973 | 38 | 1 1 -1 |
| 33.87 | 2.647 | 63 | 1 1 1 |
| 43.67 | 2.073 | 100 | 3 1 1 |
| 43.99 | 2.058 | 64 | 5 1 -1 |
| 44.27 | 2.046 | 34 | 6 0 -2 |
| 53.27 | 1.720 | 30 | 0 2 0 |
| 53.59 | 1.710 | 54 | 3 1 -3 |

***

Diffraction record for TiCrCuS4. The PXRD pattern is computed, not measured: it uses a DFT-relaxed cell (PBE, the Materials Project) and Cu Kα.

Crystal structure
Lattice parameters (Å, degrees): 6.9587 7.1241 10.0039 90.00 90.00 90.00
Space group I2_12_12_1 (No. 24)
Inequivalent atoms, fractional coordinates:
1 Ti 0.2500 0.2372 0.0000
2 Cr 0.0056 0.0000 0.2500
3 Cu 0.0000 0.2500 0.6247
4 S 0.0026 0.4921 0.0083
5 S 0.2348 0.2542 0.2432

Most intense lines, 10 to 80 degrees two-theta, by angle:
| Position (°2θ) | d [Å] | intensity | (hkl) |
| --- | --- | --- | --- |
| 25.24 | 3.528 | 45 | 1 1 2 |
| 29.56 | 3.022 | 87 | 1 2 1 |
| 29.71 | 3.007 | 30 | 1 0 3 |
| 29.94 | 2.984 | 55 | 2 1 1 |
| 36.09 | 2.489 | 46 | 2 2 0 |
| 47.23 | 1.925 | 40 | 1 0 5 |
| 51.30 | 1.781 | 26 | 0 4 0 |
| 51.82 | 1.764 | 100 | 2 2 4 |

***

Diffraction record for TiCrCuS4. The PXRD pattern is computed, not measured: it uses a DFT-relaxed cell (PBE, the Materials Project) and Cu Kα.

Crystal structure
Lattice parameters (Å, degrees): 6.2873 7.2386 12.1898 81.52 84.97 89.95
Space group P-1 (No. 2)
Inequivalent atoms, fractional coordinates:
1 Ti 0.1390 0.2019 0.2014
2 Ti 0.2373 0.3849 0.5007
3 Cr 0.3670 0.5451 0.7987
4 Cr 0.3680 0.0568 0.7952
5 Cu 0.1280 0.6994 0.2013
6 Cu 0.2535 0.8747 0.4980
7 S 0.1000 0.6500 0.3918
8 S 0.1054 0.1520 0.3905
9 S 0.1929 0.2805 0.8679
10 S 0.1929 0.7854 0.8696
11 S 0.3141 0.4711 0.1275
12 S 0.3161 0.9625 0.1316
13 S 0.3945 0.1015 0.6107
14 S 0.4046 0.5948 0.6094

Most intense lines, 10 to 80 degrees two-theta, by angle:
| Position (°2θ) | d [Å] | intensity | (hkl) |
| --- | --- | --- | --- |
| 22.21 | 4.003 | 100 | 0 0 3 |
| 28.54 | 3.127 | 54 | 1 2 1 |
| 28.90 | 3.090 | 41 | -1 2 1 |
| 30.15 | 2.964 | 70 | 1 2 2 |
| 34.81 | 2.577 | 53 | 2 0 3 |
| 43.56 | 2.078 | 40 | 1 -2 4 |
| 50.31 | 1.814 | 62 | 3 2 1 |
| 52.04 | 1.757 | 51 | 2 0 6 |

***

Diffraction record for TiCrCuS4. The PXRD pattern is computed, not measured: it uses a DFT-relaxed cell (PBE, the Materials Project) and Cu Kα.

Crystal structure
Lattice parameters (Å, degrees): 11.4175 6.9758 11.9425 90.00 90.00 90.00
Space group Pca2_1 (No. 29)
Inequivalent atoms, fractional coordinates:
1 Ti 0.0895 0.1153 0.0000
2 Ti 0.1340 0.6232 0.6493
3 Cr 0.1397 0.8738 0.2921
4 Cr 0.1574 0.3822 0.2688
5 Cu 0.1095 0.6262 0.0041
6 Cu 0.1227 0.1115 0.6406
7 S 0.0239 0.6109 0.1929
8 S 0.0258 0.1399 0.2005
9 S 0.0339 0.1281 0.4598
10 S 0.0360 0.6331 0.4583
11 S 0.2158 0.1230 0.8357
12 S 0.2173 0.6313 0.8341
13 S 0.2304 0.8780 0.1072
14 S 0.2424 0.3671 0.0919

Most intense lines, 10 to 80 degrees two-theta, by angle:
| Position (°2θ) | d [Å] | intensity | (hkl) |
| --- | --- | --- | --- |
| 27.31 | 3.265 | 70 | 2 0 3 |
| 33.88 | 2.646 | 50 | 2 0 4 |
| 34.89 | 2.571 | 36 | 3 2 0 |
| 35.72 | 2.514 | 100 | 3 2 1 |
| 38.10 | 2.362 | 76 | 3 2 2 |
| 46.78 | 1.942 | 34 | 1 2 5 |
| 52.47 | 1.744 | 34 | 0 4 0 |
| 53.36 | 1.717 | 29 | 6 0 3 |

***

Diffraction record for TiCrCuS4. The PXRD pattern is computed, not measured: it uses a DFT-relaxed cell (PBE, the Materials Project) and Cu Kα.

Crystal structure
Lattice parameters (Å, degrees): 5.7200 6.9560 12.0133 90.22 90.20 90.65
Space group P-1 (No. 2)
Inequivalent atoms, fractional coordinates:
1 Ti 0.0000 0.0000 0.0000
2 Ti 0.0188 0.2386 0.7529
3 Ti 0.5000 0.5000 0.5000
4 Cr 0.0000 0.5000 0.0000
5 Cr 0.4874 0.2594 0.2469
6 Cr 0.5000 0.0000 0.5000
7 Cu 0.1057 0.2575 0.4112
8 Cu 0.3873 0.2448 0.9121
9 S 0.2256 0.7498 0.0825
10 S 0.2335 0.5056 0.8310
11 S 0.2399 0.2546 0.0864
12 S 0.2402 0.9818 0.8291
13 S 0.2536 0.2442 0.5859
14 S 0.2671 0.5153 0.3296
15 S 0.2735 0.9985 0.3300
16 S 0.2827 0.7506 0.5872

Most intense lines, 10 to 80 degrees two-theta, by angle:
| Position (°2θ) | d [Å] | intensity | (hkl) |
| --- | --- | --- | --- |
| 19.53 | 4.546 | 59 | 0 1 -2 |
| 30.07 | 2.972 | 93 | -1 1 3 |
| 30.85 | 2.898 | 49 | -1 2 1 |
| 31.15 | 2.871 | 50 | 1 2 -1 |
| 43.43 | 2.083 | 50 | -2 2 2 |
| 43.80 | 2.067 | 51 | 2 2 -2 |
| 52.65 | 1.738 | 100 | 0 2 -6 |
| 52.85 | 1.732 | 50 | 0 2 6 |